Simulated powder X-ray diffraction pattern of PmZrNO for Cu Kα, 1.54184 Å, from DFT lattice parameters and positions (PBE).
Kinematic intensities with the Lorentz-polarization factor, no thermal factor.

Cell lengths 7.9945, 6.6944, 4.7764 Å; angles 90.00, 90.00, 90.00 degrees
Atoms (fractional coordinates):
Pm1 0.1263 0.0537 0.2500
Pm2 0.1263 0.4463 0.7500
Pm3 0.8737 0.5537 0.2500
Pm4 0.8737 0.9463 0.7500
Zr1 0.3784 0.5931 0.2500
Zr2 0.3784 0.9069 0.7500
Zr3 0.6216 0.0931 0.2500
Zr4 0.6216 0.4069 0.7500
N1 0.3996 0.5845 0.7500
N2 0.3996 0.9155 0.2500
N3 0.6004 0.0845 0.7500
N4 0.6004 0.4155 0.2500
O1 0.1559 0.0939 0.7500
O2 0.1559 0.4061 0.2500
O3 0.8441 0.5939 0.7500
O4 0.8441 0.9061 0.2500

The 8 most intense peaks (10° ≤ 2θ ≤ 80°), most intense first:
d = 2.787 Å, I = 1000; d = 3.432 Å, I = 322; d = 2.388 Å, I = 321; d = 3.347 Å, I = 302; d = 2.741 Å, I = 292; d = 1.948 Å, I = 278; d = 1.510 Å, I = 235; d = 1.999 Å, I = 176

Simulated powder X-ray diffraction pattern of Cs2AgPbCl6 for Cu Kα, 1.54184 Å, from DFT lattice parameters and positions (PBE).
Kinematic intensities with the Lorentz-polarization factor, no thermal factor.

Cell lengths 7.6378, 7.6210, 13.2327 Å; angles 90.00, 125.25, 90.00 degrees
Atoms (fractional coordinates):
Cs1 0.2482 0.0083 0.2496
Cs2 0.2482 0.4917 0.7496
Cs3 0.7518 0.5083 0.2504
Cs4 0.7518 0.9917 0.7504
Ag1 0.0000 0.0000 0.5000
Ag2 0.0000 0.5000 0.0000
Pb1 0.5000 0.0000 0.0000
Pb2 0.5000 0.5000 0.5000
Cl1 0.2203 0.2402 0.9902
Cl2 0.2203 0.2598 0.4902
Cl3 0.2504 0.7302 0.9910
Cl4 0.2504 0.7698 0.4910
Cl5 0.2630 0.5014 0.2449
Cl6 0.2630 0.9986 0.7449
Cl7 0.7370 0.0014 0.2551
Cl8 0.7370 0.4986 0.7551
Cl9 0.7496 0.2302 0.5090
Cl10 0.7496 0.2698 0.0090
Cl11 0.7797 0.7402 0.5098
Cl12 0.7797 0.7598 0.0098

The 8 most intense peaks (10° ≤ 2θ ≤ 80°), most intense first:
d = 3.817 Å, I = 1000; d = 2.699 Å, I = 501; d = 2.204 Å, I = 476; d = 1.909 Å, I = 285; d = 1.443 Å, I = 212; d = 1.707 Å, I = 178; d = 1.207 Å, I = 120; d = 1.558 Å, I = 114

Simulated powder X-ray diffraction pattern of HoTmMg2Ge2 for Cu Kα, 1.54184 Å, from DFT lattice parameters and positions (PBE).
Kinematic intensities with the Lorentz-polarization factor, no thermal factor.

Cell lengths 4.1544, 4.1544, 15.1866 Å; angles 90.00, 90.00, 90.00 degrees
Atoms (fractional coordinates):
Ho1 0.0000 0.0000 0.0000
Ho2 0.5000 0.5000 0.5000
Tm1 0.0000 0.0000 0.6593
Tm2 0.5000 0.5000 0.1593
Mg1 0.0000 0.5000 0.3292
Mg2 0.0000 0.5000 0.8292
Mg3 0.5000 0.0000 0.3292
Mg4 0.5000 0.0000 0.8292
Ge1 0.0000 0.0000 0.1931
Ge2 0.0000 0.0000 0.4662
Ge3 0.5000 0.5000 0.6931
Ge4 0.5000 0.5000 0.9662

The 8 most intense peaks (10° ≤ 2θ ≤ 80°), most intense first:
d = 2.938 Å, I = 1000; d = 2.323 Å, I = 631; d = 2.077 Å, I = 577; d = 2.740 Å, I = 570; d = 3.211 Å, I = 556; d = 7.593 Å, I = 529; d = 2.452 Å, I = 444; d = 1.917 Å, I = 370

Simulated powder X-ray diffraction pattern of B4Mo3Pb for Cu Kα, 1.54184 Å, from DFT lattice parameters and positions (PBE).
Kinematic intensities with the Lorentz-polarization factor, no thermal factor.

Cell lengths 3.0799, 3.1671, 10.0358 Å; angles 90.00, 90.00, 90.00 degrees
Atoms (fractional coordinates):
B1 0.0000 0.0000 0.0918
B2 0.0000 0.0000 0.9082
B3 0.5000 0.0000 0.1894
B4 0.5000 0.0000 0.8106
Mo1 0.0000 0.5000 0.2500
Mo2 0.0000 0.5000 0.7500
Mo3 0.5000 0.5000 0.0000
Pb1 0.5000 0.0000 0.5000

The 8 most intense peaks (10° ≤ 2θ ≤ 80°), most intense first:
d = 2.625 Å, I = 1000; d = 3.020 Å, I = 500; d = 2.156 Å, I = 474; d = 2.509 Å, I = 456; d = 2.678 Å, I = 405; d = 2.300 Å, I = 304; d = 1.843 Å, I = 300; d = 1.356 Å, I = 257

Simulated powder X-ray diffraction pattern of Te2Pd15 for Cu Kα, 1.54184 Å, from DFT lattice parameters and positions (PBE).
Kinematic intensities with the Lorentz-polarization factor, no thermal factor.

Cell lengths 6.0455, 6.0455, 27.9421 Å; angles 90.68, 90.68, 27.53 degrees
Atoms (fractional coordinates):
Te1 0.0250 0.0250 0.2579
Te2 0.9750 0.9750 0.7421
Pd1 0.0789 0.0789 0.1624
Pd2 0.1308 0.1308 0.0655
Pd3 0.1852 0.1852 0.9674
Pd4 0.2350 0.2350 0.8691
Pd5 0.2928 0.2928 0.7675
Pd6 0.3888 0.3888 0.1984
Pd7 0.4466 0.4466 0.0974
Pd8 0.5000 0.5000 0.0000
Pd9 0.5534 0.5534 0.9026
Pd10 0.6112 0.6112 0.8016
Pd11 0.7072 0.7072 0.2325
Pd12 0.7650 0.7650 0.1309
Pd13 0.8148 0.8148 0.0326
Pd14 0.8692 0.8692 0.9345
Pd15 0.9211 0.9211 0.8376

The 8 most intense peaks (10° ≤ 2θ ≤ 80°), most intense first:
d = 2.284 Å, I = 1000; d = 2.309 Å, I = 812; d = 1.979 Å, I = 641; d = 2.321 Å, I = 549; d = 2.080 Å, I = 547; d = 2.261 Å, I = 546; d = 1.911 Å, I = 306; d = 2.155 Å, I = 272

Simulated powder X-ray diffraction pattern of KRbCuP for Cu Kα, 1.54184 Å, from DFT lattice parameters and positions (PBE).
Kinematic intensities with the Lorentz-polarization factor, no thermal factor.

Cell lengths 6.2483, 5.8568, 6.2644 Å; angles 90.00, 106.52, 90.00 degrees
Atoms (fractional coordinates):
K1 0.1880 0.2500 0.0256
K2 0.8120 0.7500 0.9744
Rb1 0.4739 0.7500 0.3110
Rb2 0.5261 0.2500 0.6890
Cu1 0.0000 0.0000 0.5000
Cu2 0.0000 0.5000 0.5000
P1 0.2309 0.7500 0.7334
P2 0.7691 0.2500 0.2666

The 8 most intense peaks (10° ≤ 2θ ≤ 80°), most intense first:
d = 2.707 Å, I = 1000; d = 3.052 Å, I = 959; d = 3.154 Å, I = 781; d = 2.631 Å, I = 653; d = 6.006 Å, I = 415; d = 2.306 Å, I = 329; d = 2.422 Å, I = 293; d = 2.529 Å, I = 269

Simulated powder X-ray diffraction pattern of La2Ho2CBr3Cl2 for Cu Kα, 1.54184 Å, from DFT lattice parameters and positions (PBE).
Kinematic intensities with the Lorentz-polarization factor, no thermal factor.

Cell lengths 9.2681, 9.2681, 8.1377 Å; angles 105.68, 105.68, 23.87 degrees
Atoms (fractional coordinates):
La1 0.1480 0.1480 0.0950
La2 0.8520 0.8520 0.9050
Ho1 0.5003 0.5003 0.2011
Ho2 0.4997 0.4997 0.7989
C1 0.0000 0.0000 0.0000
Br1 0.0000 0.0000 0.5000
Br2 0.3369 0.3369 0.1863
Br3 0.6631 0.6631 0.8137
Cl1 0.3467 0.3467 0.6388
Cl2 0.6533 0.6533 0.3612

The 8 most intense peaks (10° ≤ 2θ ≤ 80°), most intense first:
d = 2.788 Å, I = 1000; d = 7.821 Å, I = 580; d = 8.715 Å, I = 571; d = 2.905 Å, I = 566; d = 2.611 Å, I = 365; d = 1.975 Å, I = 349; d = 2.050 Å, I = 290; d = 2.576 Å, I = 253

Simulated powder X-ray diffraction pattern of MoSeCl4 for Cu Kα, 1.54184 Å, from DFT lattice parameters and positions (PBE).
Kinematic intensities with the Lorentz-polarization factor, no thermal factor.

Cell lengths 6.7125, 7.6492, 7.7624 Å; angles 76.43, 78.31, 78.95 degrees
Atoms (fractional coordinates):
Mo1 0.1383 0.2518 0.1972
Mo2 0.8617 0.7482 0.8028
Se1 0.3614 0.9963 0.2416
Se2 0.6386 0.0037 0.7584
Cl1 0.0234 0.7170 0.5186
Cl2 0.1539 0.8491 0.8310
Cl3 0.1923 0.3425 0.8859
Cl4 0.3268 0.4707 0.2021
Cl5 0.6732 0.5293 0.7979
Cl6 0.8077 0.6575 0.1141
Cl7 0.8461 0.1509 0.1690
Cl8 0.9766 0.2830 0.4814

The 8 most intense peaks (10° ≤ 2θ ≤ 80°), most intense first:
d = 5.860 Å, I = 1000; d = 3.010 Å, I = 945; d = 2.743 Å, I = 882; d = 5.023 Å, I = 878; d = 5.352 Å, I = 867; d = 5.281 Å, I = 825; d = 3.721 Å, I = 726; d = 4.537 Å, I = 579

Simulated powder X-ray diffraction pattern of Ni for Cu Kα, 1.54184 Å, from DFT lattice parameters and positions (PBE).
Kinematic intensities with the Lorentz-polarization factor, no thermal factor.

Cell lengths 4.4358, 4.4358, 4.4358 Å; angles 90.00, 90.00, 90.00 degrees
Atoms (fractional coordinates):
Ni1 0.0000 0.0000 0.0000
Ni2 0.0000 0.2500 0.5000
Ni3 0.0000 0.7500 0.5000
Ni4 0.2500 0.5000 0.0000
Ni5 0.5000 0.0000 0.2500
Ni6 0.5000 0.0000 0.7500
Ni7 0.5000 0.5000 0.5000
Ni8 0.7500 0.5000 0.0000

The 5 most intense peaks (10° ≤ 2θ ≤ 80°), most intense first:
d = 1.984 Å, I = 1000; d = 1.811 Å, I = 738; d = 2.218 Å, I = 356; d = 1.230 Å, I = 185; d = 1.280 Å, I = 71

Simulated powder X-ray diffraction pattern of BaTmAgTeS2 for Cu Kα, 1.54184 Å, from DFT lattice parameters and positions (PBE).
Kinematic intensities with the Lorentz-polarization factor, no thermal factor.

Cell lengths 8.2658, 4.1778, 9.7452 Å; angles 90.00, 105.97, 90.00 degrees
Atoms (fractional coordinates):
Ba1 0.2061 0.2500 0.2289
Ba2 0.7939 0.7500 0.7711
Tm1 0.3257 0.7500 0.8540
Tm2 0.6743 0.2500 0.1460
Ag1 0.0848 0.2500 0.5952
Ag2 0.9152 0.7500 0.4048
Te1 0.2882 0.7500 0.5316
Te2 0.7118 0.2500 0.4684
S1 0.1107 0.2500 0.8674
S2 0.4497 0.7500 0.1370
S3 0.5503 0.2500 0.8630
S4 0.8893 0.7500 0.1326

The 8 most intense peaks (10° ≤ 2θ ≤ 80°), most intense first:
d = 2.879 Å, I = 1000; d = 3.121 Å, I = 664; d = 7.100 Å, I = 590; d = 2.552 Å, I = 556; d = 2.089 Å, I = 416; d = 2.668 Å, I = 403; d = 2.920 Å, I = 394; d = 3.816 Å, I = 351